Entry 1:
For BaAgNO, a structure optimized by DFT (PBE) gives the computed powder diffractogram in this record (copper Kα).
Lines closer than 0.1° are merged.

Peak list (8 most intense, 2θ from 10° to 90°, most intense first)
2θ 30.78, I = 100; 2θ 22.68, I = 90; 2θ 28.21, I = 67; 2θ 41.77, I = 59; 2θ 49.31, I = 57; 2θ 35.15, I = 54; 2θ 28.87, I = 54; 2θ 51.57, I = 41

```
8
Lattice="4.3250 0.0000 0.0000 0.0000 4.3250 0.0000 0.0000 0.0000 9.2781" Properties=species:S:1:pos:R:3 pbc="T T T"
Ba 1.0812 1.0812 1.3125
Ba 3.2437 3.2437 7.9657
Ag 1.0812 3.2437 4.6391
Ag 3.2437 1.0812 4.6391
N 1.0812 1.0812 4.2166
N 3.2437 3.2437 5.0615
O 1.0812 3.2437 0.0000
O 3.2437 1.0812 0.0000
```

Entry 2:
For HfSnPO, a structure optimized by DFT (PBE) gives the computed powder diffractogram in this record (copper Kα).
Lines closer than 0.1° are merged.

Peak list (8 most intense, 2θ from 10° to 90°, most intense first)
2θ 27.87, I = 100; 2θ 25.79, I = 83; 2θ 33.62, I = 61; 2θ 30.84, I = 51; 2θ 42.86, I = 41; 2θ 44.75, I = 40; 2θ 55.95, I = 30; 2θ 59.43, I = 23

```
8
Lattice="3.8300 0.0000 0.0000 0.0000 8.0062 0.0000 0.0000 0.0000 5.3297" Properties=species:S:1:pos:R:3 pbc="T T T"
Hf 0.0000 1.1106 0.0000
Hf 0.0000 6.8955 2.6648
Sn 1.9150 3.2596 2.8667
Sn 1.9150 4.7465 0.2019
P 0.0000 1.4768 2.6448
P 0.0000 6.5294 5.3096
O 1.9150 1.6392 5.3104
O 1.9150 6.3670 2.6455
```

Entry 3:
For Gd4C3Br3, a structure optimized by DFT (PBE) gives the computed powder diffractogram in this record (copper Kα).
Lines closer than 0.1° are merged.

Peak list (8 most intense, 2θ from 10° to 90°, most intense first)
2θ 32.47, I = 100; 2θ 30.74, I = 65; 2θ 28.29, I = 53; 2θ 45.58, I = 39; 2θ 45.05, I = 33; 2θ 33.38, I = 29; 2θ 31.34, I = 28; 2θ 35.75, I = 25

```
20
Lattice="10.0829 0.0000 0.0000 0.0000 3.7483 0.0000 -3.5390 0.0000 11.7422" Properties=species:S:1:pos:R:3 pbc="T T T"
Gd -0.3350 0.9371 1.7931
Gd -0.4213 2.8112 5.3066
Gd -0.4554 0.9371 8.4933
Gd 2.8341 2.8112 0.3676
Gd 3.7097 0.9371 11.3746
Gd 6.9993 2.8112 3.2490
Gd 6.9651 0.9371 6.4357
Gd 6.8789 2.8112 9.9491
C -1.7229 2.8112 7.4370
C -2.2535 0.9371 11.7379
C -1.6119 0.9371 10.5355
C 8.1558 2.8112 1.2067
C 8.7974 2.8112 0.0043
C 8.2667 0.9371 4.3052
Br 1.6424 2.8112 3.0859
Br 1.6104 0.9371 6.4413
Br 1.6490 2.8112 10.0919
Br 4.8949 0.9371 1.6503
Br 4.9335 2.8112 5.3010
Br 4.9015 0.9371 8.6563
```

Entry 4:
For Hf3Bi2Sb2Pd4, a structure optimized by DFT (PBE) gives the computed powder diffractogram in this record (copper Kα).
Lines closer than 0.1° are merged.

Peak list (8 most intense, 2θ from 10° to 90°, most intense first)
2θ 39.95, I = 100; 2θ 72.55, I = 33; 2θ 27.95, I = 28; 2θ 24.15, I = 20; 2θ 57.74, I = 11; 2θ 86.18, I = 11; 2θ 47.22, I = 9; 2θ 19.66, I = 9

```
11
Lattice="-3.1935 3.1935 6.3762 3.1935 -3.1935 6.3762 3.1935 3.1935 -6.3762" Properties=species:S:1:pos:R:3 pbc="T T T"
Hf 0.0000 0.0000 0.0000
Hf 3.1935 0.0000 3.1881
Hf 0.0000 3.1935 3.1881
Bi 3.1935 0.0000 0.0000
Bi 0.0000 3.1935 0.0000
Sb 0.0000 0.0000 3.3162
Sb 0.0000 0.0000 9.4362
Pd 1.5263 1.5263 -1.6964
Pd 1.6673 -1.6673 8.0726
Pd 1.6673 1.6673 4.6798
Pd -1.6673 1.6673 8.0726
```